# Ca5V2N6
Simulated powder diffractogram, Cu Ka. Input: a structure optimized by DFT (GGA-PBE).
Kinematic intensities with the Lorentz-polarization factor, no thermal factor.

```
data_Ca5V2N6
_chemical_formula_sum 'Ca5 V2 N6'
_cell_length_a 6.552
_cell_length_b 4.965
_cell_length_c 7.116
_cell_angle_alpha 90.00
_cell_angle_beta 105.01
_cell_angle_gamma 90.00
_symmetry_space_group_name_H-M 'P 1 m 1'
_symmetry_Int_Tables_number 6
_symmetry_space_group_name_Hall 'P -2y'
loop_
_atom_site_label
_atom_site_fract_x
_atom_site_fract_y
_atom_site_fract_z
_atom_site_occupancy
Ca1 0.000 0.000 0.000 1
Ca2 0.090 0.000 0.477 1
Ca3 0.488 0.000 0.922 1
Ca4 0.677 0.500 0.672 1
Ca5 0.789 0.500 0.194 1
V1 0.161 0.500 0.796 1
V2 0.571 0.000 0.376 1
N1 0.021 0.500 0.544 1
N2 0.306 0.000 0.255 1
N3 0.446 0.500 0.887 1
N4 0.645 0.000 0.638 1
N5 0.761 0.000 0.218 1
N6 0.982 0.500 0.949 1
```

The 8 most intense peaks (15° ≤ 2θ ≤ 90°), sorted by position:
2θ 22.1, I 57, hkl 0 1 1
2θ 31.7, I 62, hkl 0 1 2
2θ 31.8, I 43, hkl 1 1 -2
2θ 32.7, I 26, hkl 1 0 2
2θ 33.1, I 35, hkl 2 0 -2
2θ 33.3, I 36, hkl 2 1 -1
2θ 33.6, I 39, hkl 2 1 0
2θ 36.2, I 100, hkl 0 2 0